No. 1
Computed powder XRD pattern
Compound: La3RuBr3
Radiation: a wavelength of 1.5418 Å
Structure: a structure optimized by DFT (PBE)
Kinematic intensities with the Lorentz-polarization factor, no thermal factor.

Main lines, sorted by position (5° ≤ 2θ ≤ 70°):
| d (Å) | I_rel |
| --- | --- |
| 8.636 | 40 |
| 3.264 | 14 |
| 3.053 | 100 |
| 2.159 | 70 |
| 1.763 | 23 |
| 1.365 | 26 |

Atomic structure:
```
28
Lattice="-6.106 6.106 6.106 6.106 -6.106 6.106 6.106 6.106 -6.106" Properties=species:S:1:pos:R:3 pbc="T T T"
La 1.718 1.527 -1.335
La 7.441 1.718 -1.527
La 1.527 -1.335 1.718
La 4.772 4.388 -1.527
La 4.388 1.527 1.335
La -1.335 1.718 1.527
La 4.388 -1.527 4.772
La 1.527 1.335 4.388
La 1.335 4.388 1.527
La 1.718 -1.527 7.441
La -1.527 7.441 1.718
La -1.527 4.772 4.388
Ru 4.580 1.527 -1.527
Ru 1.527 1.527 1.527
Ru 1.527 -1.527 4.580
Ru -1.527 4.580 1.527
Br 7.633 1.443 1.610
Br 7.633 -1.443 4.497
Br 4.497 7.633 -1.443
Br 4.663 1.610 4.580
Br 4.580 4.663 1.610
Br 1.610 7.633 1.443
Br 7.550 4.497 4.580
Br 1.610 4.580 4.663
Br 1.443 1.610 7.633
Br 4.580 7.550 4.497
Br -1.443 4.497 7.633
Br 4.497 4.580 7.550
```



No. 2
Computed powder XRD pattern
Compound: LaSBr
Radiation: a wavelength of 1.5418 Å
Structure: a structure optimized by DFT (PBE)
Kinematic intensities with the Lorentz-polarization factor, no thermal factor.

Main lines, sorted by position (5° ≤ 2θ ≤ 70°):
| d (Å) | I_rel |
| --- | --- |
| 4.098 | 72 |
| 3.610 | 23 |
| 3.513 | 39 |
| 2.922 | 25 |
| 2.888 | 100 |
| 2.519 | 53 |

Atomic structure:
```
24
Lattice="7.025 0.000 0.000 0.000 14.105 0.000 0.000 0.000 7.219" Properties=species:S:1:pos:R:3 pbc="T T T"
La 1.696 1.303 0.235
La 1.696 5.750 3.845
La 1.817 8.355 0.235
La 1.817 12.802 3.845
La 5.208 1.303 3.375
La 5.208 5.750 6.984
La 5.330 8.355 3.375
La 5.330 12.802 6.984
S 0.007 0.334 5.359
S 0.007 6.719 1.750
S 3.506 7.386 5.359
S 3.506 13.771 1.750
S 3.520 0.334 5.470
S 3.520 6.719 1.860
S 7.018 7.386 5.470
S 7.018 13.771 1.860
Br 1.256 9.904 2.889
Br 1.256 11.253 6.499
Br 2.257 2.852 2.889
Br 2.257 4.200 6.499
Br 4.768 9.904 0.721
Br 4.768 11.253 4.331
Br 5.770 2.852 0.721
Br 5.770 4.200 4.331
```



No. 3
Computed powder XRD pattern
Compound: LaSbS2Br2
Radiation: a wavelength of 1.5418 Å
Structure: a structure optimized by DFT (PBE)
Kinematic intensities with the Lorentz-polarization factor, no thermal factor.

Main lines, sorted by position (5° ≤ 2θ ≤ 70°):
| d (Å) | I_rel |
| --- | --- |
| 8.536 | 62 |
| 3.612 | 59 |
| 3.015 | 98 |
| 3.002 | 100 |
| 2.548 | 72 |
| 2.214 | 87 |

Atomic structure:
```
48
Lattice="8.857 0.000 0.000 0.000 9.349 0.000 -4.285 0.000 17.072" Properties=species:S:1:pos:R:3 pbc="T T T"
La -0.009 1.262 4.040
La -2.151 3.413 12.575
La 2.245 5.889 4.365
La 0.103 8.134 12.901
La 4.469 1.214 4.171
La 2.327 3.460 12.707
La 6.723 5.936 4.496
La 4.581 8.087 13.032
Sb -2.044 6.165 16.156
Sb 0.098 7.858 7.620
Sb -2.044 0.423 16.294
Sb 0.098 4.251 7.758
Sb 4.474 5.097 9.314
Sb 6.616 8.925 0.778
Sb 4.474 1.491 9.452
Sb 6.617 3.184 0.916
S -1.688 6.072 7.647
S -3.830 7.951 16.182
S -2.021 6.228 13.709
S 0.121 7.795 5.173
S -2.032 0.610 13.837
S 0.110 4.064 5.302
S 1.863 6.062 7.643
S -0.279 7.960 16.179
S 4.851 1.388 0.892
S 2.709 3.286 9.428
S 4.462 5.284 11.770
S 6.604 8.739 3.234
S 4.451 1.554 11.899
S 6.594 3.121 3.363
S 8.402 1.397 0.889
S 6.260 3.277 9.425
Br -0.059 5.838 2.179
Br -2.202 8.185 10.715
Br 0.173 5.241 11.260
Br 2.315 8.782 2.724
Br 0.179 1.642 11.361
Br 2.322 3.032 2.825
Br 2.164 1.190 6.277
Br 0.022 3.484 14.813
Br 4.551 5.864 2.259
Br 2.408 8.159 10.795
Br 2.250 6.316 14.247
Br 4.393 7.707 5.711
Br 2.257 0.566 14.348
Br 4.399 4.108 5.812
Br 6.774 1.164 6.356
Br 4.631 3.511 14.892
```



No. 4
Computed powder XRD pattern
Compound: La9Sb16Br3
Radiation: a wavelength of 1.5418 Å
Structure: a structure optimized by DFT (PBE)
Kinematic intensities with the Lorentz-polarization factor, no thermal factor.

Main lines, sorted by position (5° ≤ 2θ ≤ 70°):
| d (Å) | I_rel |
| --- | --- |
| 3.516 | 25 |
| 3.048 | 41 |
| 2.766 | 27 |
| 2.736 | 100 |
| 2.652 | 15 |
| 2.177 | 37 |

Atomic structure:
```
56
Lattice="21.486 0.000 0.000 -10.743 18.607 0.000 0.000 0.000 4.353" Properties=species:S:1:pos:R:3 pbc="T T T"
La -6.352 11.273 1.088
La -7.089 15.797 1.088
La 0.607 4.570 1.088
La -0.818 10.083 3.265
La 4.261 1.759 3.265
La -1.601 14.274 3.265
La 4.157 7.469 1.088
La 8.547 0.135 3.265
La 2.419 12.857 3.265
La 8.323 5.750 1.088
La 2.196 18.472 1.088
La 6.586 11.138 3.265
La 12.344 4.333 1.088
La 6.482 16.848 1.088
La 11.561 8.524 1.088
La 10.136 14.037 3.265
La 17.832 2.810 3.265
La 17.095 7.334 3.265
Sb -2.853 5.315 1.088
Sb -3.312 9.593 1.088
Sb -1.021 6.648 3.265
Sb -3.804 11.694 3.265
Sb -4.228 13.951 1.088
Sb -4.475 16.167 3.265
Sb 0.775 7.970 1.088
Sb -4.713 18.421 1.088
Sb 3.176 5.128 3.265
Sb 0.000 12.405 1.088
Sb 5.247 4.208 1.088
Sb 2.517 9.465 3.265
Sb -0.779 16.679 1.088
Sb 7.290 3.314 3.265
Sb 4.091 10.942 1.088
Sb 1.287 16.055 3.265
Sb 9.456 2.553 1.088
Sb 6.652 7.665 3.265
Sb 3.453 15.294 1.088
Sb 11.522 1.928 3.265
Sb 8.225 9.142 1.088
Sb 5.496 14.399 3.265
Sb 10.743 6.202 3.265
Sb 7.567 13.479 1.088
Sb 15.456 0.187 3.265
Sb 9.968 10.637 3.265
Sb 15.218 2.440 1.088
Sb 14.971 4.656 3.265
Sb 14.547 6.913 1.088
Sb 11.764 11.959 1.088
Sb 14.055 9.014 3.265
Sb 13.596 13.292 3.265
Br -0.518 2.779 3.265
Br -8.077 17.666 3.265
Br 2.148 1.838 1.088
Br 8.595 16.769 3.265
Br 18.820 0.941 1.088
Br 11.261 15.828 1.088
```



No. 5
Computed powder XRD pattern
Compound: SrLaBr5
Radiation: a wavelength of 1.5418 Å
Structure: a structure optimized by DFT (PBE)
Kinematic intensities with the Lorentz-polarization factor, no thermal factor.

Main lines, sorted by position (5° ≤ 2θ ≤ 70°):
| d (Å) | I_rel |
| --- | --- |
| 6.742 | 80 |
| 3.416 | 100 |
| 2.735 | 71 |
| 2.679 | 93 |
| 2.550 | 46 |
| 2.206 | 65 |

Atomic structure:
```
14
Lattice="7.964 0.000 0.000 0.000 4.412 0.000 -0.806 0.000 13.943" Properties=species:S:1:pos:R:3 pbc="T T T"
Sr 0.058 1.103 4.923
Sr 7.101 3.309 9.019
La 3.458 3.309 2.233
La 3.700 1.103 11.710
Br 1.289 1.103 1.695
Br 0.862 1.103 10.307
Br 1.183 3.309 6.668
Br 2.044 3.309 13.042
Br 3.357 1.103 4.387
Br 3.801 3.309 9.556
Br 5.114 1.103 0.900
Br 5.975 1.103 7.275
Br 6.296 3.309 3.636
Br 5.870 3.309 12.248
```



No. 6
Computed powder XRD pattern
Compound: SrLaBr5
Radiation: a wavelength of 1.5418 Å
Structure: a structure optimized by DFT (PBE)
Kinematic intensities with the Lorentz-polarization factor, no thermal factor.

Main lines, sorted by position (5° ≤ 2θ ≤ 70°):
| d (Å) | I_rel |
| --- | --- |
| 7.531 | 100 |
| 3.426 | 37 |
| 3.106 | 57 |
| 3.062 | 43 |
| 2.881 | 35 |
| 2.236 | 31 |

Atomic structure:
```
14
Lattice="8.655 0.000 0.000 0.000 4.472 0.000 -0.688 0.000 14.066" Properties=species:S:1:pos:R:3 pbc="T T T"
Sr 0.575 1.118 2.002
Sr 7.392 3.354 12.064
La 3.424 3.354 4.891
La 4.542 1.118 9.175
Br 0.477 3.354 4.503
Br 0.597 1.118 13.042
Br 2.471 1.118 6.778
Br 2.906 3.354 1.959
Br 2.766 3.354 9.970
Br 5.200 1.118 4.096
Br 5.060 1.118 12.107
Br 5.496 3.354 7.288
Br 7.370 3.354 1.025
Br 7.489 1.118 9.563
```



No. 7
Computed powder XRD pattern
Compound: Li6MgBr8
Radiation: a wavelength of 1.5418 Å
Structure: a structure optimized by DFT (PBE)
Kinematic intensities with the Lorentz-polarization factor, no thermal factor.

Main lines, sorted by position (5° ≤ 2θ ≤ 70°):
| d (Å) | I_rel |
| --- | --- |
| 3.194 | 100 |
| 2.766 | 71 |
| 1.956 | 50 |
| 1.668 | 42 |
| 1.597 | 17 |
| 1.383 | 8 |

Atomic structure:
```
15
Lattice="0.000 5.532 5.532 5.532 0.000 5.532 5.532 5.532 0.000" Properties=species:S:1:pos:R:3 pbc="T T T"
Li 2.766 2.766 0.000
Li 2.766 0.000 2.766
Li 5.532 2.766 2.766
Li 0.000 2.766 2.766
Li 2.766 5.532 2.766
Li 2.766 2.766 5.532
Mg 0.000 0.000 0.000
Br 5.532 5.532 2.687
Br 5.532 2.687 5.532
Br 8.377 5.532 5.532
Br 2.766 2.766 2.766
Br 8.298 8.298 8.298
Br 2.687 5.532 5.532
Br 5.532 8.377 5.532
Br 5.532 5.532 8.377
```



No. 8
Computed powder XRD pattern
Compound: Li6Br3N
Radiation: a wavelength of 1.5418 Å
Structure: a structure optimized by DFT (PBE)
Kinematic intensities with the Lorentz-polarization factor, no thermal factor.

Main lines, sorted by position (5° ≤ 2θ ≤ 70°):
| d (Å) | I_rel |
| --- | --- |
| 5.201 | 33 |
| 3.199 | 100 |
| 3.192 | 91 |
| 3.165 | 88 |
| 2.233 | 22 |
| 1.832 | 57 |

Atomic structure:
```
10
Lattice="4.486 -4.466 0.000 4.486 4.466 0.000 -4.472 0.000 4.563" Properties=species:S:1:pos:R:3 pbc="T T T"
Li 0.000 0.000 0.000
Li 0.679 1.925 1.970
Li -1.132 0.000 2.503
Li 2.503 0.000 1.090
Li 0.679 -1.925 1.970
Li 1.419 0.000 3.635
Br -1.546 2.234 3.957
Br -1.546 -2.234 3.957
Br 5.173 0.000 1.686
N 0.689 0.000 1.798
```



No. 9
Computed powder XRD pattern
Compound: Li6Br3N
Radiation: a wavelength of 1.5418 Å
Structure: a structure optimized by DFT (PBE)
Kinematic intensities with the Lorentz-polarization factor, no thermal factor.

Main lines, sorted by position (5° ≤ 2θ ≤ 70°):
| d (Å) | I_rel |
| --- | --- |
| 3.474 | 54 |
| 3.287 | 100 |
| 3.260 | 49 |
| 2.907 | 58 |
| 2.824 | 27 |
| 2.074 | 34 |

Atomic structure:
```
10
Lattice="4.194 -4.042 0.000 4.194 4.042 0.000 -3.818 0.000 5.647" Properties=species:S:1:pos:R:3 pbc="T T T"
Li 1.924 2.614 1.550
Li -0.139 0.000 2.007
Li 2.645 2.614 4.097
Li 1.924 -2.614 1.550
Li 4.708 0.000 3.641
Li 2.645 -2.614 4.097
Br 4.194 2.161 0.000
Br 2.284 0.000 2.824
Br 4.194 -2.161 0.000
N -1.909 0.000 2.824
```